# 1
# Ce6Hg5Pt
Simulated powder XRD pattern, Cu Kα X-rays. Input: a crystal structure in Alexandria, relaxed with GGA-PBE.
Lines closer than 0.1° are merged.

Top 10 peaks for 2θ = 10–80°, in order of falling intensity:
| 2theta | I/Imax | hkl |
| --- | --- | --- |
| 33.31 | 1000 | 2 2 1 |
| 33.46 | 961 | 4 2 -1 |
| 34.14 | 893 | 2 0 -2 |
| 59.17 | 331 | 2 4 -2 |
| 60.78 | 285 | 6 2 -3 |
| 46.78 | 189 | 0 4 0 |
| 60.47 | 178 | 0 2 3 |
| 48.83 | 145 | 4 0 2 |
| 49.29 | 140 | 8 0 -2 |
| 78.20 | 133 | 2 6 1 |

Structural model:
```
data_Ce6Hg5Pt
_chemical_formula_sum 'Ce12 Hg10 Pt2'
_symmetry_space_group_name_H-M 'C 1 2/m 1'
_symmetry_Int_Tables_number 12
_cell_length_a 16.557
_cell_length_b 7.767
_cell_length_c 5.256
_cell_angle_alpha 90.00
_cell_angle_beta 108.01
_cell_angle_gamma 90.00
loop_
_symmetry_equiv_pos_as_xyz
'x,y,z'
'-x,-y,-z'
'-x,y,-z'
'x,-y,z'
'x+1/2,y+1/2,z'
'-x+1/2,-y+1/2,-z'
'-x+1/2,y+1/2,-z'
'x+1/2,-y+1/2,z'
loop_
_atom_site_label
_atom_site_type_symbol
_atom_site_fract_x
_atom_site_fract_y
_atom_site_fract_z
_atom_site_occupancy
Ce1 Ce 0.000 0.222 0.000 1
Ce2 Ce 0.152 0.231 0.655 1
Hg1 Hg 0.000 0.500 0.500 1
Hg2 Hg 0.167 0.500 0.170 1
Hg3 Hg 0.190 0.000 0.192 1
Pt1 Pt 0.000 0.000 0.500 1
```

# 2
# Ce4PuHg3
Simulated powder XRD pattern, Cu Kα X-rays. Input: a crystal structure in Alexandria, relaxed with GGA-PBE.
Lines closer than 0.1° are merged.

Top 10 peaks for 2θ = 10–80°, in order of falling intensity:
| 2theta | I/Imax | hkl |
| --- | --- | --- |
| 33.04 | 1000 | 2 2 2 |
| 32.13 | 257 | 3 1 1 |
| 35.07 | 241 | 0 4 0 |
| 41.50 | 216 | 1 3 3 |
| 31.68 | 192 | 1 0 3 |
| 39.23 | 128 | 4 0 0 |
| 28.00 | 128 | 0 3 1 |
| 54.93 | 99 | 3 5 1 |
| 32.90 | 94 | 1 1 3 |
| 44.40 | 90 | 4 0 2 |

Structural model:
```
data_Ce4PuHg3
_chemical_formula_sum 'Ce16 Pu4 Hg12'
_symmetry_space_group_name_H-M 'P n m a'
_symmetry_Int_Tables_number 62
_cell_length_a 9.186
_cell_length_b 10.236
_cell_length_c 8.905
_cell_angle_alpha 90.00
_cell_angle_beta 90.00
_cell_angle_gamma 90.00
loop_
_symmetry_equiv_pos_as_xyz
'x,y,z'
'-x,-y,-z'
'-x+1/2,-y,z+1/2'
'x+1/2,y,-z+1/2'
'x+1/2,-y+1/2,-z+1/2'
'-x+1/2,y+1/2,z+1/2'
'-x,y+1/2,-z'
'x,-y+1/2,z'
loop_
_atom_site_label
_atom_site_type_symbol
_atom_site_fract_x
_atom_site_fract_y
_atom_site_fract_z
_atom_site_occupancy
Ce1 Ce 0.056 0.250 0.085 1
Ce2 Ce 0.212 0.053 0.486 1
Ce3 Ce 0.248 0.750 0.208 1
Pu1 Pu 0.220 0.750 0.810 1
Hg1 Hg 0.008 0.035 0.791 1
Hg2 Hg 0.065 0.750 0.507 1
```

# 3
# CePu2Hg6
Simulated powder XRD pattern, Cu Kα X-rays. Input: a crystal structure in Alexandria, relaxed with GGA-PBE.
Lines closer than 0.1° are merged.

Top 10 peaks for 2θ = 10–80°, in order of falling intensity:
| 2theta | I/Imax | hkl |
| --- | --- | --- |
| 34.86 | 1000 | 3 0 0 |
| 34.46 | 918 | 1 1 3 |
| 62.25 | 342 | 4 1 3 |
| 49.83 | 330 | 2 2 3 |
| 69.03 | 284 | 3 0 6 |
| 62.51 | 190 | 3 3 0 |
| 73.61 | 119 | 6 0 0 |
| 45.18 | 107 | 3 0 3 |
| 57.49 | 81 | 0 0 6 |
| 27.83 | 64 | 0 0 3 |

Structural model:
```
data_CePu2Hg6
_chemical_formula_sum 'Ce3 Pu6 Hg18'
_symmetry_space_group_name_H-M 'R -3 m'
_symmetry_Int_Tables_number 166
_symmetry_space_group_name_Hall '-R 3 2"'
_cell_length_a 8.9156
_cell_length_b 8.9156
_cell_length_c 9.6177
_cell_angle_alpha 90.00
_cell_angle_beta 90.00
_cell_angle_gamma 120.00
loop_
_atom_site_label
_atom_site_type_symbol
_atom_site_fract_x
_atom_site_fract_y
_atom_site_fract_z
_atom_site_occupancy
Ce1 Ce 0.0000 0.0000 0.0000 1
Pu1 Pu 0.0000 0.0000 0.3313 1
Hg1 Hg 0.0000 0.3324 0.5000 1
```